Entry 1:
For Na2TeBr, a DFT-relaxed cell (GGA-PBE, Alexandria) gives the calculated PXRD pattern in this record (copper Kα).
Kinematic intensities with the Lorentz-polarization factor, no thermal factor.

Cell and atoms:
```
Na2TeBr
1.0
1.9969 1.1529 8.2532
-1.9969 1.1529 8.2532
0.0000 -2.3059 8.2532
Na Te Br
2 1 1
Cartesian
0.0000 0.0000 5.9578 Na
0.0000 0.0000 18.8017 Na
0.0000 0.0000 0.0000 Te
0.0000 0.0000 12.3797 Br
```

Largest 8 diffraction maxima, in order of rising 2θ, 2θ = 15–90°:
21.5°, intensity 29; 26.8°, intensity 49; 29.6°, intensity 100; 39.1°, intensity 45; 45.4°, intensity 30; 50.8°, intensity 17; 55.1°, intensity 18; 65.0°, intensity 18



Entry 2:
For Na3TeBr6, a DFT-relaxed cell (GGA-PBE, Alexandria) gives the calculated PXRD pattern in this record (copper Kα).
Kinematic intensities with the Lorentz-polarization factor, no thermal factor.

Cell and atoms:
```
Na3TeBr6
1.0
7.4673 0.0000 0.0000
0.0000 7.6753 0.0000
-6.4094 0.0000 11.4497
Na Te Br
6 2 12
Cartesian
0.0000 0.0000 0.0000 Na
-3.2047 3.8376 5.7248 Na
-2.9520 0.5861 8.8987 Na
0.2528 3.2516 3.1739 Na
0.8051 4.4237 8.2757 Na
4.0098 7.0892 2.5509 Na
0.5289 0.0000 5.7248 Te
3.7336 3.8376 0.0000 Te
-0.8195 0.5988 2.6921 Br
-4.0243 3.2388 8.4170 Br
1.6115 5.1706 1.1356 Br
-1.5932 6.3424 6.8604 Br
2.5973 1.4426 0.6395 Br
-0.6074 2.3951 6.3644 Br
1.6652 5.2802 5.0853 Br
-1.5395 6.2327 10.8101 Br
2.6511 1.3329 4.5893 Br
-0.5536 2.5047 10.3141 Br
5.0821 4.4365 3.0327 Br
1.8774 7.0765 8.7575 Br
```

Largest 8 diffraction maxima, in order of rising 2θ, 2θ = 15–90°:
16.6°, intensity 34; 24.5°, intensity 32; 25.2°, intensity 100; 26.6°, intensity 50; 28.4°, intensity 30; 29.7°, intensity 38; 40.1°, intensity 29; 42.7°, intensity 27



Entry 3:
For Na3TeBr, a DFT-relaxed cell (GGA-PBE, Alexandria) gives the calculated PXRD pattern in this record (copper Kα).
Kinematic intensities with the Lorentz-polarization factor, no thermal factor.

Cell and atoms:
```
Na3TeBr
1.0
3.7569 -8.0358 0.0000
3.7569 8.0358 0.0000
0.0000 0.0000 5.0648
Na Te Br
6 2 2
Cartesian
1.8785 4.0179 2.5324 Na
3.7569 5.2817 0.0000 Na
2.2960 0.0000 2.5324 Na
1.8785 -4.0179 2.5324 Na
5.2179 0.0000 2.5324 Na
3.7569 -5.2817 0.0000 Na
3.7569 2.2562 0.0000 Te
3.7569 -2.2562 0.0000 Te
3.7569 6.2599 2.5324 Br
3.7569 -6.2599 2.5324 Br
```

Largest 8 diffraction maxima, in order of rising 2θ, 2θ = 15–90°:
21.9°, intensity 100; 22.1°, intensity 38; 23.7°, intensity 49; 27.0°, intensity 71; 32.6°, intensity 72; 35.2°, intensity 38; 35.4°, intensity 38; 48.9°, intensity 45



Entry 4:
For Na2Te2Br, a DFT-relaxed cell (GGA-PBE, Alexandria) gives the calculated PXRD pattern in this record (copper Kα).
Kinematic intensities with the Lorentz-polarization factor, no thermal factor.

Cell and atoms:
```
Na2Te2Br
1.0
5.3882 0.0000 0.0000
0.0000 5.3882 0.0000
0.0000 0.0000 5.8347
Na Te Br
2 2 1
Cartesian
0.0000 2.6941 0.0000 Na
2.6941 0.0000 0.0000 Na
0.0000 0.0000 2.9174 Te
2.6941 2.6941 2.9174 Te
0.0000 0.0000 0.0000 Br
```

Largest 8 diffraction maxima, in order of rising 2θ, 2θ = 15–90°:
23.3°, intensity 100; 28.0°, intensity 74; 30.6°, intensity 46; 33.3°, intensity 73; 38.9°, intensity 52; 45.8°, intensity 59; 47.7°, intensity 26; 57.8°, intensity 29



Entry 5:
For Na7TeBr5, a DFT-relaxed cell (GGA-PBE, Alexandria) gives the calculated PXRD pattern in this record (copper Kα).
Kinematic intensities with the Lorentz-polarization factor, no thermal factor.

Cell and atoms:
```
Na7TeBr5
1.0
2.1841 -7.0777 0.0000
2.1841 7.0777 0.0000
0.0000 0.0000 24.4413
Na Te Br
14 2 10
Cartesian
2.1841 6.2261 18.3310 Na
2.1841 5.2033 0.8871 Na
2.1841 5.2033 11.3336 Na
2.1841 2.6771 16.5998 Na
2.1841 2.6771 20.0622 Na
2.1841 1.3935 2.8571 Na
2.1841 1.3935 9.3636 Na
2.1841 -1.3935 15.0778 Na
2.1841 -1.3935 21.5842 Na
2.1841 -2.6771 4.3792 Na
2.1841 -2.6771 7.8415 Na
2.1841 -5.2033 13.1077 Na
2.1841 -5.2033 23.5543 Na
2.1841 -6.2261 6.1103 Na
2.1841 2.9158 6.1103 Te
2.1841 -2.9158 18.3310 Te
2.1841 6.4797 3.6144 Br
2.1841 6.4797 8.6063 Br
2.1841 3.8636 13.9877 Br
2.1841 3.8636 22.6743 Br
2.1841 0.0000 0.0000 Br
2.1841 0.0000 12.2207 Br
2.1841 -3.8636 1.7670 Br
2.1841 -3.8636 10.4536 Br
2.1841 -6.4797 15.8350 Br
2.1841 -6.4797 20.8270 Br
```

Largest 8 diffraction maxima, in order of rising 2θ, 2θ = 15–90°:
24.0°, intensity 48; 25.2°, intensity 100; 28.8°, intensity 79; 30.0°, intensity 83; 39.6°, intensity 42; 40.8°, intensity 35; 41.3°, intensity 35; 49.0°, intensity 32



Entry 6:
For NaTi4Br7, a DFT-relaxed cell (GGA-PBE, Alexandria) gives the calculated PXRD pattern in this record (copper Kα).
Kinematic intensities with the Lorentz-polarization factor, no thermal factor.

Cell and atoms:
```
NaTi4Br7
1.0
4.7776 0.0000 0.0000
0.0000 18.8487 0.0000
0.0000 0.0000 7.9217
Na Ti Br
2 8 14
Cartesian
1.1944 4.7122 0.0953 Na
3.5832 14.1365 7.8264 Na
1.1944 9.5800 7.1893 Ti
1.1944 11.4389 1.2364 Ti
1.1944 16.8341 1.2364 Ti
1.1944 18.6930 7.1893 Ti
3.5832 0.1557 0.7324 Ti
3.5832 2.0146 6.6853 Ti
3.5832 7.4098 6.6853 Ti
3.5832 9.2687 0.7324 Ti
1.1944 0.4992 1.9082 Br
1.1944 2.0256 5.5787 Br
1.1944 7.3988 5.5787 Br
1.1944 8.9251 1.9082 Br
1.1944 12.2616 6.7268 Br
1.1944 14.1365 1.9149 Br
1.1944 16.0115 6.7268 Br
3.5832 2.8372 1.1949 Br
3.5832 4.7122 6.0068 Br
3.5832 6.5871 1.1949 Br
3.5832 9.9235 6.0135 Br
3.5832 11.4499 2.3430 Br
3.5832 16.8231 2.3430 Br
3.5832 18.3495 6.0135 Br
```

Largest 8 diffraction maxima, in order of rising 2θ, 2θ = 15–90°:
22.4°, intensity 69; 28.9°, intensity 100; 32.6°, intensity 44; 35.2°, intensity 71; 37.7°, intensity 65; 41.3°, intensity 33; 43.6°, intensity 37; 52.5°, intensity 44



Entry 7:
For Na2TiBr4, a DFT-relaxed cell (GGA-PBE, Alexandria) gives the calculated PXRD pattern in this record (copper Kα).
Kinematic intensities with the Lorentz-polarization factor, no thermal factor.

Cell and atoms:
```
Na2TiBr4
1.0
-3.6330 3.6330 4.6980
3.6330 -3.6330 4.6980
3.6330 3.6330 -4.6980
Na Ti Br
2 1 4
Cartesian
3.6330 0.0000 2.3490 Na
0.0000 3.6330 2.3490 Na
0.0000 0.0000 0.0000 Ti
1.6708 1.6708 -1.0112 Br
1.9622 -1.9622 5.7092 Br
1.9622 1.9622 3.6869 Br
-1.9622 1.9622 5.7092 Br
```

Largest 8 diffraction maxima, in order of rising 2θ, 2θ = 15–90°:
15.4°, intensity 21; 24.5°, intensity 25; 25.7°, intensity 100; 34.9°, intensity 33; 43.9°, intensity 40; 46.0°, intensity 34; 50.2°, intensity 10; 70.5°, intensity 15